[1]
Structure and simulated powder XRD pattern of KH3F4 (a cell relaxed with GGA-PBE; a wavelength of 1.5418 Å).

Crystal structure
Lattice parameters (Å, degrees): 7.4798 7.4798 12.4028 90.00 90.00 120.00
Space group R-3c (No. 167, hexagonal axes)
Symmetry-distinct sites (fractional):
K1 0.0000 0.0000 0.0000 [6 per cell]
H1 0.0000 0.1880 0.2500 [18 per cell]
F1 0.0000 0.0000 0.2500 [6 per cell]
F2 0.0000 0.3218 0.2500 [18 per cell]

Peak list (12 most intense, 2θ = 5–70°, by angle)
| 2theta | I/Imax | index |
| --- | --- | --- |
| 19.8 | 126 | 0 1 2 |
| 23.8 | 358 | 1 1 0 |
| 31.2 | 122 | 2 0 2 |
| 32.0 | 724 | 1 0 4 |
| 32.3 | 928 | 1 1 3 |
| 39.6 | 101 | 1 2 2 |
| 40.3 | 250 | 0 2 4 |
| 41.8 | 1000 | 3 0 0 |
| 47.3 | 317 | 2 1 4 |
| 50.4 | 196 | 1 1 6 |
| 53.8 | 130 | 2 2 3 |
| 59.5 | 185 | 1 3 4 |

[2]
Structure and simulated powder XRD pattern of Li4ZnIn2F12 (a cell relaxed with GGA-PBE; a wavelength of 1.5418 Å).

Crystal structure
Lattice parameters (Å, degrees): 5.0859 4.8725 18.0593 90.00 90.00 90.00
Space group Pnc2 (No. 30)
Symmetry-distinct sites (fractional):
Li1 0.0000 0.0000 0.0000 [2 per cell]
Li2 0.0000 0.0000 0.1553 [2 per cell]
Li3 0.0000 0.0000 0.4786 [2 per cell]
Li4 0.5000 0.0000 0.4118 [2 per cell]
Zn1 0.5000 0.0000 0.2469 [2 per cell]
In1 0.0000 0.0000 0.8249 [2 per cell]
In2 0.5000 0.0000 0.5859 [2 per cell]
F1 0.1598 0.2327 0.9133 [4 per cell]
F2 0.1651 0.2430 0.0756 [4 per cell]
F3 0.1673 0.2401 0.2431 [4 per cell]
F4 0.3093 0.7047 0.9964 [4 per cell]
F5 0.3281 0.7363 0.6654 [4 per cell]
F6 0.3328 0.7316 0.8289 [4 per cell]

Peak list (12 most intense, 2θ = 5–70°, by angle)
| 2theta | I/Imax | index |
| --- | --- | --- |
| 9.8 | 283 | 0 0 2 |
| 19.7 | 419 | 0 0 4 |
| 20.0 | 850 | 1 0 2 |
| 23.5 | 673 | 0 1 3 |
| 25.8 | 1000 | 1 1 1 |
| 29.4 | 949 | 1 1 3 |
| 30.8 | 338 | 0 1 5 |
| 39.4 | 313 | 1 1 6 |
| 42.3 | 254 | 1 2 2 |
| 51.5 | 613 | 1 2 6 |
| 52.0 | 321 | 2 2 0 |
| 61.9 | 255 | 2 1 9 |

[3]
Structure and simulated powder XRD pattern of Sm3Tl5 (a cell relaxed with GGA-PBE; a wavelength of 1.5418 Å).

Crystal structure
Lattice parameters (Å, degrees): 10.4159 8.2852 10.5502 90.00 90.00 90.00
Space group Cmcm (No. 63)
Symmetry-distinct sites (fractional):
Sm1 0.0000 0.1253 0.2500 [4 per cell]
Sm2 0.2020 0.5000 0.0000 [8 per cell]
Tl1 0.0000 0.1942 0.5498 [8 per cell]
Tl2 0.0000 0.4973 0.7500 [4 per cell]
Tl3 0.2263 0.2150 0.7500 [8 per cell]

Peak list (12 most intense, 2θ = 5–70°, by angle)
| 2theta | I/Imax | index |
| --- | --- | --- |
| 28.9 | 223 | 1 1 3 |
| 32.4 | 1000 | 2 2 2 |
| 32.7 | 207 | 3 1 2 |
| 33.6 | 256 | 1 3 0 |
| 34.0 | 282 | 0 0 4 |
| 34.4 | 278 | 4 0 0 |
| 37.7 | 172 | 2 2 3 |
| 38.0 | 199 | 3 1 3 |
| 49.2 | 122 | 4 0 4 |
| 55.2 | 130 | 5 3 0 |
| 64.8 | 132 | 3 5 2 |
| 66.5 | 92 | 5 3 4 |

[4]
Structure and simulated powder XRD pattern of BaBr2O (a cell relaxed with GGA-PBE; a wavelength of 1.5418 Å).

Crystal structure
Lattice parameters (Å, degrees): 11.3211 5.2466 8.9612 90.00 90.00 90.00
Space group Pnma (No. 62)
Symmetry-distinct sites (fractional):
Ba1 0.1924 0.2500 0.1163 [4 per cell]
Br1 0.1052 0.7500 0.3365 [4 per cell]
Br2 0.1111 0.7500 0.8960 [4 per cell]
O1 0.2436 0.2500 0.6239 [4 per cell]

Peak list (12 most intense, 2θ = 5–70°, by angle)
| 2theta | I/Imax | index |
| --- | --- | --- |
| 12.6 | 287 | 1 0 1 |
| 15.7 | 232 | 2 0 0 |
| 18.5 | 271 | 2 0 1 |
| 21.1 | 267 | 1 1 1 |
| 27.3 | 1000 | 1 1 2 |
| 31.0 | 603 | 3 0 2 |
| 34.2 | 493 | 0 2 0 |
| 34.6 | 270 | 0 1 3 |
| 35.5 | 781 | 3 1 2 |
| 36.1 | 350 | 4 1 0 |
| 40.3 | 218 | 0 0 4 |
| 46.8 | 367 | 3 2 2 |

[5]
Structure and simulated powder XRD pattern of Rb3Gd (a cell relaxed with GGA-PBE; a wavelength of 1.5418 Å).

Crystal structure
Lattice parameters (Å, degrees): 5.7430 5.7430 5.7430 90.00 90.00 90.00
Space group Pm-3m (No. 221)
Symmetry-distinct sites (fractional):
Rb1 0.0000 0.0000 0.5000 [3 per cell]
Gd1 0.5000 0.5000 0.5000 [1 per cell]

Peak list (12 most intense, 2θ = 5–70°, by angle)
| 2theta | I/Imax | index |
| --- | --- | --- |
| 15.4 | 72 | 1 0 0 |
| 21.9 | 65 | 1 1 0 |
| 26.9 | 1000 | 1 1 1 |
| 31.1 | 512 | 2 0 0 |
| 34.9 | 41 | 2 1 0 |
| 38.4 | 32 | 2 1 1 |
| 44.6 | 373 | 2 2 0 |
| 47.5 | 22 | 3 0 0 |
| 52.9 | 451 | 3 1 1 |
| 55.4 | 130 | 2 2 2 |
| 60.3 | 18 | 3 2 1 |
| 65.0 | 61 | 4 0 0 |